Computed XRD peak list
Compound: Nd4InHg2Pt
Radiation: Cu Kα X-rays
Structure: a cell relaxed with GGA-PBE
No peak broadening, texture or thermal motion is included.

Most intense lines, 10 to 90 degrees two-theta, sorted by position:
- 33.3 deg, intensity 100
- 33.6 deg, intensity 81
- 46.1 deg, intensity 14
- 48.0 deg, intensity 30
- 59.6 deg, intensity 19
- 59.7 deg, intensity 31

```
8
Lattice="2.689 1.552 8.682 -2.689 1.552 8.682 0.000 -3.105 8.682" Properties=species:S:1:pos:R:3 pbc="T T T"
Nd 0.000 0.000 2.975
Nd 0.000 0.000 9.564
Nd 0.000 0.000 16.483
Nd 0.000 0.000 23.072
In 0.000 0.000 13.024
Hg 0.000 0.000 6.234
Hg 0.000 0.000 19.813
Pt 0.000 0.000 0.000
```


Computed XRD peak list
Compound: Nd4InHg2Ru
Radiation: Cu Kα X-rays
Structure: a cell relaxed with GGA-PBE
No peak broadening, texture or thermal motion is included.

Most intense lines, 10 to 90 degrees two-theta, sorted by position:
- 31.0 deg, intensity 14
- 33.4 deg, intensity 100
- 33.9 deg, intensity 74
- 48.3 deg, intensity 27
- 59.8 deg, intensity 19
- 60.1 deg, intensity 29

```
8
Lattice="2.679 1.547 8.590 -2.679 1.547 8.590 0.000 -3.094 8.590" Properties=species:S:1:pos:R:3 pbc="T T T"
Nd 0.000 0.000 2.885
Nd 0.000 0.000 9.460
Nd 0.000 0.000 16.309
Nd 0.000 0.000 22.884
In 0.000 0.000 12.884
Hg 0.000 0.000 6.147
Hg 0.000 0.000 19.622
Ru 0.000 0.000 0.000
```


Computed XRD peak list
Compound: TbNd2In2Hg2
Radiation: Cu Kα X-rays
Structure: a cell relaxed with GGA-PBE
No peak broadening, texture or thermal motion is included.

Most intense lines, 10 to 90 degrees two-theta, sorted by position:
- 30.5 deg, intensity 20
- 32.9 deg, intensity 100
- 36.5 deg, intensity 95
- 50.0 deg, intensity 34
- 62.1 deg, intensity 25
- 63.5 deg, intensity 32

```
7
Lattice="2.461 1.421 9.412 -2.461 1.421 9.412 0.000 -2.842 9.412" Properties=species:S:1:pos:R:3 pbc="T T T"
Tb 0.000 0.000 0.000
Nd 0.000 0.000 3.601
Nd 0.000 0.000 24.635
In 0.000 0.000 7.337
In 0.000 0.000 20.900
Hg 0.000 0.000 10.954
Hg 0.000 0.000 17.283
```


Computed XRD peak list
Compound: Nd2TmIn2Hg2
Radiation: Cu Kα X-rays
Structure: a cell relaxed with GGA-PBE
No peak broadening, texture or thermal motion is included.

Most intense lines, 10 to 90 degrees two-theta, sorted by position:
- 24.5 deg, intensity 17
- 30.7 deg, intensity 17
- 33.1 deg, intensity 100
- 36.6 deg, intensity 91
- 50.2 deg, intensity 31
- 63.7 deg, intensity 30

```
7
Lattice="2.455 1.417 9.355 -2.455 1.417 9.355 0.000 -2.834 9.355" Properties=species:S:1:pos:R:3 pbc="T T T"
Nd 0.000 0.000 3.565
Nd 0.000 0.000 24.500
Tm 0.000 0.000 0.000
In 0.000 0.000 7.317
In 0.000 0.000 20.748
Hg 0.000 0.000 10.830
Hg 0.000 0.000 17.235
```


Repeat the third record exactly.
Computed XRD peak list
Compound: TbNd2In2Hg2
Radiation: Cu Kα X-rays
Structure: a cell relaxed with GGA-PBE
No peak broadening, texture or thermal motion is included.

Most intense lines, 10 to 90 degrees two-theta, sorted by position:
- 30.5 deg, intensity 20
- 32.9 deg, intensity 100
- 36.5 deg, intensity 95
- 50.0 deg, intensity 34
- 62.1 deg, intensity 25
- 63.5 deg, intensity 32

```
7
Lattice="2.461 1.421 9.412 -2.461 1.421 9.412 0.000 -2.842 9.412" Properties=species:S:1:pos:R:3 pbc="T T T"
Tb 0.000 0.000 0.000
Nd 0.000 0.000 3.601
Nd 0.000 0.000 24.635
In 0.000 0.000 7.337
In 0.000 0.000 20.900
Hg 0.000 0.000 10.954
Hg 0.000 0.000 17.283
```